Calculated X-ray powder pattern of PmNiIr for copper Kα, from a cell relaxed with GGA-PBE.
Lines closer than 0.1° are merged.

```
data_PmNiIr
_chemical_formula_sum 'Pm4 Ni4 Ir4'
_symmetry_space_group_name_H-M 'I m m a'
_symmetry_Int_Tables_number 74
_symmetry_space_group_name_Hall '-I 2b 2'
_cell_length_a 5.183
_cell_length_b 5.431
_cell_length_c 7.412
_cell_angle_alpha 90.00
_cell_angle_beta 90.00
_cell_angle_gamma 90.00
loop_
_atom_site_label
_atom_site_fract_x
_atom_site_fract_y
_atom_site_fract_z
_atom_site_occupancy
Pm1 0.000 0.250 0.123 1
Ni1 0.250 0.250 0.750 1
Ir1 0.000 0.000 0.500 1
```

Peak list (12 most intense, 2θ = 10–90°, sorted by position)
two_theta  I (rel.)  (hkl)
20.91  20  1 0 1
24.01  16  0 0 2
34.01  37  1 1 2
34.61  30  2 0 0
39.38  100  1 2 1
40.09  16  0 1 3
40.44  75  1 0 3
41.21  32  0 2 2
42.57  31  2 0 2
60.48  12  0 2 4
65.23  26  3 2 1
71.60  32  2 2 4

Calculated X-ray powder pattern of Li2ZnAg2PbAu2 for copper Kα, from a cell relaxed with GGA-PBE.
Lines closer than 0.1° are merged.

```
data_Li2ZnAg2PbAu2
_chemical_formula_sum 'Li2 Zn1 Ag2 Pb1 Au2'
_symmetry_space_group_name_H-M 'P -4 m 2'
_symmetry_Int_Tables_number 115
_symmetry_space_group_name_Hall 'P -4 -2'
_cell_length_a 4.496
_cell_length_b 4.496
_cell_length_c 6.986
_cell_angle_alpha 90.00
_cell_angle_beta 90.00
_cell_angle_gamma 90.00
loop_
_atom_site_label
_atom_site_fract_x
_atom_site_fract_y
_atom_site_fract_z
_atom_site_occupancy
Li1 0.000 0.000 0.000 1
Li2 0.500 0.500 0.500 1
Zn1 0.000 0.000 0.500 1
Ag1 0.000 0.500 0.719 1
Pb1 0.500 0.500 0.000 1
Au1 0.000 0.500 0.287 1
```

Peak list (12 most intense, 2θ = 10–90°, sorted by position)
two_theta  I (rel.)  (hkl)
23.53  46  1 0 1
28.07  18  1 1 0
30.90  17  1 1 1
38.28  100  1 1 2
38.67  9  0 0 3
40.11  50  2 0 0
47.03  16  2 1 1
56.93  11  2 0 3
58.02  17  2 2 0
67.97  12  2 0 4
71.66  32  3 1 2
74.13  9  1 1 5

What did the second record say?
Calculated X-ray powder pattern of Li2ZnAg2PbAu2 for copper Kα, from a cell relaxed with GGA-PBE.
Lines closer than 0.1° are merged.

```
data_Li2ZnAg2PbAu2
_chemical_formula_sum 'Li2 Zn1 Ag2 Pb1 Au2'
_symmetry_space_group_name_H-M 'P -4 m 2'
_symmetry_Int_Tables_number 115
_symmetry_space_group_name_Hall 'P -4 -2'
_cell_length_a 4.496
_cell_length_b 4.496
_cell_length_c 6.986
_cell_angle_alpha 90.00
_cell_angle_beta 90.00
_cell_angle_gamma 90.00
loop_
_atom_site_label
_atom_site_fract_x
_atom_site_fract_y
_atom_site_fract_z
_atom_site_occupancy
Li1 0.000 0.000 0.000 1
Li2 0.500 0.500 0.500 1
Zn1 0.000 0.000 0.500 1
Ag1 0.000 0.500 0.719 1
Pb1 0.500 0.500 0.000 1
Au1 0.000 0.500 0.287 1
```

Peak list (12 most intense, 2θ = 10–90°, sorted by position)
two_theta  I (rel.)  (hkl)
23.53  46  1 0 1
28.07  18  1 1 0
30.90  17  1 1 1
38.28  100  1 1 2
38.67  9  0 0 3
40.11  50  2 0 0
47.03  16  2 1 1
56.93  11  2 0 3
58.02  17  2 2 0
67.97  12  2 0 4
71.66  32  3 1 2
74.13  9  1 1 5